Record 1
# CsSe2Br4
Calculated powder diffractogram, Cu Kα (λ = 1.5418 Å). Input: a crystal structure in Alexandria, relaxed with PBE.

Most intense lines, 2θ from 5° to 70°, low angle first:
2θ 11.38, 7.777 Å, intensity 60, (1 1 1)
2θ 16.90, 5.248 Å, intensity 37, (1 1 3)
2θ 17.60, 5.039 Å, intensity 100, (0 0 4)
2θ 23.61, 3.768 Å, intensity 36, (1 3 1)
2θ 24.52, 3.630 Å, intensity 48, (1 1 5)
2θ 27.48, 3.246 Å, intensity 33, (3 1 3)
2θ 27.61, 3.231 Å, intensity 69, (2 2 4)
2θ 30.44, 2.937 Å, intensity 25, (0 2 6)
2θ 34.60, 2.592 Å, intensity 57, (3 3 3)
2θ 50.96, 1.792 Å, intensity 31, (2 6 4)

a b c (Å): 11.685 12.183 20.111
angles (deg): 90.00 90.00 90.00
Space group F222 (No. 22)
Asymmetric unit:
Cs 0.000 0.000 0.000 x4
Cs 0.250 0.250 0.250 x4
Se 0.186 0.170 0.639 x16
Br 0.014 0.247 0.117 x16
Br 0.171 0.016 0.844 x16

---

Record 2
# NaCd3
Calculated powder diffractogram, Cu Kα (λ = 1.5418 Å). Input: a crystal structure in Alexandria, relaxed with PBE.

Most intense lines, 2θ from 5° to 70°, low angle first:
2θ 16.54, 5.359 Å, intensity 15, (0 2 0)
2θ 17.58, 5.045 Å, intensity 29, (0 1 1)
2θ 32.98, 2.716 Å, intensity 31, (1 0 1)
2θ 33.44, 2.679 Å, intensity 45, (0 4 0)
2θ 35.59, 2.522 Å, intensity 62, (0 2 2)
2θ 37.11, 2.423 Å, intensity 100, (1 2 1)
2θ 47.67, 1.908 Å, intensity 21, (1 4 1)
2θ 56.77, 1.622 Å, intensity 19, (1 0 3)
2θ 62.20, 1.492 Å, intensity 20, (1 6 1)
2θ 67.51, 1.387 Å, intensity 21, (1 4 3)

a b c (Å): 3.087 10.718 5.718
angles (deg): 90.00 90.00 90.00
Space group Imm2 (No. 44)
Asymmetric unit:
Na 0.000 0.000 0.000 x2
Cd 0.000 0.243 0.330 x4
Cd 0.000 0.500 0.009 x2

---

Record 3
# KThAg2Cl8
Calculated powder diffractogram, Cu Kα (λ = 1.5418 Å). Input: a crystal structure in Alexandria, relaxed with PBE.

Most intense lines, 2θ from 5° to 70°, low angle first:
2θ 15.04, 5.889 Å, intensity 54, (1 0 -1)
2θ 15.36, 5.770 Å, intensity 100, (0 1 -1)
2θ 18.61, 4.769 Å, intensity 56, (1 -1 0)
2θ 19.90, 4.463 Å, intensity 54, (1 1 0)
2θ 21.64, 4.106 Å, intensity 36, (1 0 -2)
2θ 27.85, 3.203 Å, intensity 33, (1 0 2)
2θ 29.97, 2.981 Å, intensity 35, (1 2 -1)
2θ 30.90, 2.894 Å, intensity 26, (1 2 0)
2θ 33.76, 2.655 Å, intensity 41, (-2 1 2)
2θ 36.25, 2.478 Å, intensity 33, (2 0 -3)

a b c (Å): 6.549 6.820 9.065
angles (deg): 98.29 104.73 91.54
Space group P-1 (No. 2)
Asymmetric unit:
K 0.000 0.000 0.000 x1
Th 0.000 0.000 0.500 x1
Ag 0.478 0.406 0.808 x2
Cl 0.217 0.473 0.976 x2
Cl 0.232 0.353 0.544 x2
Cl 0.239 0.851 0.315 x2
Cl 0.266 0.907 0.754 x2

---

Record 4
# NaMg2Ag2Sb2
Calculated powder diffractogram, Cu Kα (λ = 1.5418 Å). Input: a crystal structure in Alexandria, relaxed with PBE.

Most intense lines, 2θ from 5° to 70°, low angle first:
2θ 10.24, 8.642 Å, intensity 28, (0 0 3)
2θ 20.55, 4.321 Å, intensity 48, (0 0 6)
2θ 21.91, 4.056 Å, intensity 38, (1 0 1)
2θ 25.68, 3.469 Å, intensity 62, (1 0 4)
2θ 32.56, 2.750 Å, intensity 52, (1 0 7)
2θ 37.95, 2.371 Å, intensity 100, (1 1 0)
2θ 41.18, 2.192 Å, intensity 53, (1 0 10)
2θ 43.54, 2.079 Å, intensity 40, (1 1 6)
2θ 44.29, 2.045 Å, intensity 20, (0 1 11)
2θ 65.20, 1.431 Å, intensity 22, (0 1 17)

a b c (Å): 4.7421 4.7421 25.9264
angles (deg): 90.00 90.00 120.00
Space group R-3m (No. 166, hexagonal axes)
Asymmetric unit:
Na 0.0000 0.0000 0.0000 x3
Mg 0.0000 0.0000 0.1377 x6
Ag 0.0000 0.0000 0.4448 x6
Sb 0.0000 0.0000 0.2568 x6

---

Record 5
# Th2MoN4
Calculated powder diffractogram, Cu Kα (λ = 1.5418 Å). Input: a crystal structure in Alexandria, relaxed with PBE.

Most intense lines, 2θ from 5° to 70°, low angle first:
2θ 23.45, 3.793 Å, intensity 24, (1 1 1)
2θ 28.35, 3.149 Å, intensity 11, (0 4 0)
2θ 30.97, 2.888 Å, intensity 100, (1 3 1)
2θ 31.33, 2.855 Å, intensity 30, (0 0 2)
2θ 32.29, 2.772 Å, intensity 30, (2 0 0)
2θ 43.50, 2.081 Å, intensity 10, (2 4 0)
2θ 45.61, 1.989 Å, intensity 26, (2 0 2)
2θ 55.54, 1.655 Å, intensity 19, (1 3 3)
2θ 56.10, 1.639 Å, intensity 11, (1 7 1)
2θ 56.77, 1.622 Å, intensity 19, (3 3 1)

a b c (Å): 5.544 12.594 5.711
angles (deg): 90.00 90.00 90.00
Space group Cmce (No. 64)
Asymmetric unit:
Th 0.000 0.143 0.017 x8
Mo 0.000 0.000 0.500 x4
N 0.000 0.178 0.443 x8
N 0.250 0.013 0.750 x8

---

Record 6
# SmCd3Au
Calculated powder diffractogram, Cu Kα (λ = 1.5418 Å). Input: a crystal structure in Alexandria, relaxed with PBE.

Most intense lines, 2θ from 5° to 70°, low angle first:
2θ 28.05, 3.181 Å, intensity 9, (2 1 0)
2θ 31.92, 2.804 Å, intensity 100, (1 1 3)
2θ 36.41, 2.468 Å, intensity 22, (3 1 1)
2θ 38.77, 2.323 Å, intensity 20, (3 1 2)
2θ 39.04, 2.307 Å, intensity 21, (1 0 5)
2θ 41.26, 2.188 Å, intensity 26, (0 2 0)
2θ 41.54, 2.174 Å, intensity 11, (2 1 4)
2θ 58.07, 1.588 Å, intensity 17, (1 2 5)
2θ 69.38, 1.355 Å, intensity 14, (5 0 6)
2θ 69.73, 1.349 Å, intensity 11, (2 1 8)

a b c (Å): 9.260 4.377 11.912
angles (deg): 90.00 90.00 90.00
Space group Pnma (No. 62)
Asymmetric unit:
Sm 0.189 0.250 0.006 x4
Cd 0.065 0.250 0.399 x4
Cd 0.080 0.750 0.202 x4
Cd 0.144 0.750 0.801 x4
Au 0.137 0.250 0.629 x4

---

Record 7
# Cs2ZrInI6
Calculated powder diffractogram, Cu Kα (λ = 1.5418 Å). Input: a crystal structure in Alexandria, relaxed with PBE.

Most intense lines, 2θ from 5° to 70°, low angle first:
2θ 10.91, 8.110 Å, intensity 23, (0 0 6)
2θ 12.50, 7.080 Å, intensity 20, (0 1 2)
2θ 21.91, 4.056 Å, intensity 25, (0 0 12)
2θ 25.76, 3.458 Å, intensity 55, (2 0 5)
2θ 27.31, 3.266 Å, intensity 100, (0 2 7)
2θ 30.37, 2.943 Å, intensity 25, (0 2 10)
2θ 31.52, 2.838 Å, intensity 40, (2 0 11)
2θ 35.43, 2.533 Å, intensity 21, (2 0 14)
2θ 42.31, 2.136 Å, intensity 48, (2 2 0)
2θ 48.15, 1.890 Å, intensity 20, (2 2 12)

a b c (Å): 8.5445 8.5445 48.6622
angles (deg): 90.00 90.00 120.00
Space group R-3m (No. 166, hexagonal axes)
Asymmetric unit:
Cs 0.0000 0.0000 0.1352 x6
Cs 0.0000 0.0000 0.3054 x6
Zr 0.0000 0.0000 0.0000 x3
Zr 0.0000 0.0000 0.5000 x3
In 0.0000 0.0000 0.4180 x6
I 0.0043 0.5021 0.1319 x18
I 0.0122 0.5061 0.7019 x18

---

Record 8
# Cs2MgNpBr6
Calculated powder diffractogram, Cu Kα (λ = 1.5418 Å). Input: a crystal structure in Alexandria, relaxed with PBE.

Most intense lines, 2θ from 5° to 70°, low angle first:
2θ 13.40, 6.607 Å, intensity 28, (0 1 1)
2θ 21.97, 4.046 Å, intensity 59, (2 0 0)
2θ 25.82, 3.450 Å, intensity 29, (1 3 0)
2θ 26.99, 3.303 Å, intensity 48, (2 2 0)
2θ 31.27, 2.861 Å, intensity 100, (2 0 2)
2θ 34.15, 2.625 Å, intensity 20, (1 3 2)
2θ 38.54, 2.336 Å, intensity 28, (3 2 1)
2θ 44.80, 2.023 Å, intensity 72, (4 0 0)
2θ 53.09, 1.725 Å, intensity 20, (4 2 2)
2θ 55.65, 1.652 Å, intensity 25, (4 4 0)

a b c (Å): 8.092 11.442 8.092
angles (deg): 90.00 90.00 90.00
Space group Pmmn (No. 59, origin choice 2)
Asymmetric unit:
Cs 0.250 0.000 0.250 x4
Mg 0.250 0.250 0.749 x2
Np 0.250 0.750 0.751 x2
Br 0.009 0.250 0.508 x4
Br 0.009 0.250 0.990 x4
Br 0.250 0.009 0.750 x4